Diffraction record for CeP3H8O7. The powder diffractogram is computed, not measured: it uses a crystal structure in Alexandria, relaxed with GGA-PBE and λ = 1.5418 Å (Cu Kα).
Lines closer than 0.1° are merged.

Unit cell a=7.2210 b=8.0821 c=9.0519 alpha=110.63 beta=97.27 gamma=105.19
Fractional coordinates of all 38 atoms:
Ce1 0.1505 0.3106 0.3663
Ce2 0.8495 0.6894 0.6337
P1 0.0328 0.1913 0.9160
P2 0.3515 0.6835 0.7674
P3 0.4719 0.7163 0.3111
P4 0.5281 0.2837 0.6889
P5 0.6485 0.3165 0.2326
P6 0.9672 0.8087 0.0840
H1 0.0393 0.3489 0.8785
H2 0.1718 0.9916 0.5481
H3 0.1868 0.7852 0.4739
H4 0.2281 0.1832 0.9217
H5 0.3438 0.6391 0.9055
H6 0.3665 0.8748 0.8267
H7 0.4557 0.8779 0.2893
H8 0.4677 0.5933 0.1523
H9 0.5323 0.4067 0.8477
H10 0.5443 0.1221 0.7107
H11 0.6335 0.1252 0.1733
H12 0.6562 0.3609 0.0945
H13 0.7719 0.8168 0.0783
H14 0.8132 0.2148 0.5261
H15 0.8282 0.0084 0.4519
H16 0.9607 0.6511 0.1215
O1 0.0029 0.7659 0.9141
O2 0.1118 0.9816 0.2244
O3 0.1279 0.8665 0.5510
O4 0.1560 0.5663 0.6391
O5 0.2858 0.6323 0.3588
O6 0.3260 0.2295 0.5768
O7 0.4623 0.3397 0.2863
O8 0.5377 0.6603 0.7137
O9 0.6740 0.7705 0.4232
O10 0.7142 0.3677 0.6412
O11 0.8440 0.4337 0.3609
O12 0.8721 0.1335 0.4490
O13 0.8882 0.0184 0.7756
O14 0.9971 0.2341 0.0859

Largest 6 diffraction maxima, by angle, 2θ from 5° to 70°:
2θ/deg, I/Imax
10.76, 87
12.74, 100
13.09, 31
14.78, 40
19.36, 49
24.94, 38



Diffraction record for RbCeH2S2O9. The powder diffractogram is computed, not measured: it uses a crystal structure in Alexandria, relaxed with GGA-PBE and λ = 1.5418 Å (Cu Kα).
Lines closer than 0.1° are merged.

Unit cell a=10.3514 b=8.8626 c=10.6448 alpha=90.00 beta=119.12 gamma=90.00
Fractional coordinates of all 60 atoms:
Rb1 0.2173 0.1895 0.1897
Rb2 0.2173 0.3105 0.6897
Rb3 0.7827 0.6895 0.3103
Rb4 0.7827 0.8105 0.8103
Ce1 0.2647 0.6575 0.0267
Ce2 0.2647 0.8425 0.5267
Ce3 0.7353 0.1575 0.4733
Ce4 0.7353 0.3425 0.9733
H1 0.2699 0.5214 0.4212
H2 0.2699 0.9786 0.9212
H3 0.4034 0.5070 0.5785
H4 0.4034 0.9930 0.0785
H5 0.5966 0.0070 0.9215
H6 0.5966 0.4930 0.4215
H7 0.7301 0.0214 0.0788
H8 0.7301 0.4786 0.5788
S1 0.0534 0.6285 0.1775
S2 0.0534 0.8715 0.6775
S3 0.4760 0.6786 0.8839
S4 0.4760 0.8214 0.3839
S5 0.5240 0.1786 0.6161
S6 0.5240 0.3214 0.1161
S7 0.9466 0.1285 0.3225
S8 0.9466 0.3715 0.8225
O1 0.0587 0.7331 0.0692
O2 0.0587 0.7669 0.5692
O3 0.0679 0.7148 0.3034
O4 0.0679 0.7852 0.8034
O5 0.0916 0.0495 0.3893
O6 0.0916 0.4505 0.8893
O7 0.1798 0.5211 0.2229
O8 0.1798 0.9789 0.7229
O9 0.3026 0.5460 0.5234
O10 0.3026 0.9540 0.0234
O11 0.3309 0.6000 0.8327
O12 0.3309 0.9000 0.3327
O13 0.4099 0.0737 0.6116
O14 0.4099 0.4263 0.1116
O15 0.4590 0.6971 0.2821
O16 0.4590 0.8029 0.7821
O17 0.4815 0.2406 0.4714
O18 0.4815 0.2594 0.9714
O19 0.5185 0.7406 0.0286
O20 0.5185 0.7594 0.5286
O21 0.5410 0.1971 0.2179
O22 0.5410 0.3029 0.7179
O23 0.5901 0.5737 0.8884
O24 0.5901 0.9263 0.3884
O25 0.6691 0.1000 0.6673
O26 0.6691 0.4000 0.1673
O27 0.6974 0.0460 0.9766
O28 0.6974 0.4540 0.4766
O29 0.8202 0.0211 0.2771
O30 0.8202 0.4789 0.7771
O31 0.9084 0.5495 0.1107
O32 0.9084 0.9505 0.6107
O33 0.9321 0.2148 0.1966
O34 0.9321 0.2852 0.6966
O35 0.9413 0.2331 0.4308
O36 0.9413 0.2669 0.9308

Largest 6 diffraction maxima, by angle, 2θ from 5° to 70°:
2θ/deg, I/Imax
13.80, 79
13.99, 44
26.18, 84
27.40, 63
28.16, 100
40.12, 39



Diffraction record for CeH2SO6. The powder diffractogram is computed, not measured: it uses a crystal structure in Alexandria, relaxed with GGA-PBE and λ = 1.5418 Å (Cu Kα).
Lines closer than 0.1° are merged.

Unit cell a=4.2472 b=4.7095 c=5.3926 alpha=104.23 beta=110.54 gamma=101.20
Fractional coordinates of all 10 atoms:
Ce1 0.0000 0.0000 0.0000
H1 0.4295 0.6797 0.3676
H2 0.5705 0.3203 0.6324
S1 0.0000 0.5000 0.5000
O1 0.1527 0.6281 0.2718
O2 0.2055 0.2456 0.4829
O3 0.3449 0.7532 0.7903
O4 0.6551 0.2468 0.2097
O5 0.7945 0.7544 0.5171
O6 0.8473 0.3719 0.7282

Largest 6 diffraction maxima, by angle, 2θ from 5° to 70°:
2θ/deg, I/Imax
22.54, 100
23.52, 83
30.47, 28
31.65, 30
32.36, 31
41.05, 25



Diffraction record for CeZnH6Os. The powder diffractogram is computed, not measured: it uses a crystal structure in Alexandria, relaxed with GGA-PBE and λ = 1.5418 Å (Cu Kα).
Lines closer than 0.1° are merged.

Unit cell a=4.6161 b=4.6161 c=4.4609 alpha=90.00 beta=90.00 gamma=120.00
Fractional coordinates of all 9 atoms:
Ce1 0.0000 0.0000 0.0000
Zn1 0.3333 0.6667 0.5000
H1 0.5139 0.0277 0.2250
H2 0.5139 0.0277 0.7750
H3 0.5139 0.4861 0.2250
H4 0.5139 0.4861 0.7750
H5 0.9723 0.4861 0.2250
H6 0.9723 0.4861 0.7750
Os1 0.6667 0.3333 0.5000

Largest 6 diffraction maxima, by angle, 2θ from 5° to 70°:
2θ/deg, I/Imax
30.02, 100
39.03, 47
40.44, 14
50.00, 25
57.46, 31
65.19, 22



Diffraction record for Ce5P3H. The powder diffractogram is computed, not measured: it uses a crystal structure in Alexandria, relaxed with GGA-PBE and λ = 1.5418 Å (Cu Kα).
Lines closer than 0.1° are merged.

Unit cell a=8.5604 b=8.5604 c=8.5604 alpha=127.59 beta=127.59 gamma=77.29
Fractional coordinates of all 18 atoms:
Ce1 0.0000 0.0000 0.0000
Ce2 0.0206 0.5206 0.8287
Ce3 0.1919 0.0206 0.5000
Ce4 0.3081 0.8081 0.8287
Ce5 0.4794 0.3081 0.5000
Ce6 0.5000 0.5000 0.0000
Ce7 0.5206 0.6919 0.5000
Ce8 0.6919 0.1919 0.1713
Ce9 0.8081 0.9794 0.5000
Ce10 0.9794 0.4794 0.1713
P1 0.1396 0.3604 0.5000
P2 0.2500 0.2500 0.0000
P3 0.3604 0.8604 0.2209
P4 0.6396 0.1396 0.7791
P5 0.7500 0.7500 0.0000
P6 0.8604 0.6396 0.5000
H1 0.2500 0.7500 0.5000
H2 0.7500 0.2500 0.5000

Largest 6 diffraction maxima, by angle, 2θ from 5° to 70°:
2θ/deg, I/Imax
27.21, 41
31.56, 23
33.26, 100
35.86, 35
37.62, 46
58.71, 20



What is the formula in the third record?
CeH2SO6